Computed powder diffraction line list
Compound: Hf2NbGe6
Radiation: copper Kα
Structure: a cell relaxed with GGA-PBE
Lines closer than 0.1° are merged.

Structural model:
```
data_Hf2NbGe6
_chemical_formula_sum 'Hf4 Nb2 Ge12'
_cell_length_a 5.075
_cell_length_b 8.824
_cell_length_c 6.988
_cell_angle_alpha 90.00
_cell_angle_beta 90.00
_cell_angle_gamma 90.00
_space_group_name_H-M_alt 'C 2 2 2'
_space_group_IT_number 21
loop_
_space_group_symop_operation_xyz
'x,y,z'
'-x,-y,z'
'x,-y,-z'
'-x,y,-z'
'x+1/2,y+1/2,z'
'-x+1/2,-y+1/2,z'
'x+1/2,-y+1/2,-z'
'-x+1/2,y+1/2,-z'
loop_
_atom_site_label
_atom_site_fract_x
_atom_site_fract_y
_atom_site_fract_z
Hf1 0.250 0.250 0.165
Nb1 0.000 0.000 0.500
Ge1 0.000 0.333 0.500
Ge2 0.246 0.419 0.830
```

Top 10 peaks for 10° ≤ 2θ ≤ 90°, sorted by position:
d [Å]  2theta  intensity  index
3.725  23.9  22  1 1 1
2.389  37.6  100  1 3 1
2.329  38.7  34  0 0 3
2.057  44.0  46  1 3 2
2.053  44.1  20  2 0 2
1.440  64.8  26  1 3 4
1.435  65.0  14  3 3 1
1.352  69.5  11  3 3 2
1.225  78.0  12  1 3 5
1.117  87.3  13  2 6 3

Computed powder diffraction line list
Compound: PaF3
Radiation: copper Kα
Structure: a cell relaxed with GGA-PBE
Lines closer than 0.1° are merged.

Structural model:
```
data_PaF3
_chemical_formula_sum 'Pa2 F6'
_cell_length_a 3.708
_cell_length_b 3.708
_cell_length_c 7.178
_cell_angle_alpha 90.00
_cell_angle_beta 90.00
_cell_angle_gamma 90.00
_space_group_name_H-M_alt 'I 4/m m m'
_space_group_IT_number 139
_space_group_name_Hall '-I 4 2'
loop_
_atom_site_label
_atom_site_fract_x
_atom_site_fract_y
_atom_site_fract_z
Pa1 0.000 0.000 0.000
F1 0.000 0.000 0.500
F2 0.000 0.500 0.250
```

Top 10 peaks for 10° ≤ 2θ ≤ 90°, sorted by position:
d [Å]  2theta  intensity  index
3.589  24.8  31  0 0 2
3.294  27.1  100  1 0 1
2.622  34.2  28  1 1 0
2.117  42.7  57  1 1 2
2.010  45.1  27  1 0 3
1.854  49.1  19  2 0 0
1.647  55.8  15  2 0 2
1.616  57.0  28  2 1 1
1.363  68.9  16  2 1 3
1.115  87.5  14  3 1 2

Computed powder diffraction line list
Compound: In3ReN
Radiation: copper Kα
Structure: a cell relaxed with GGA-PBE
Lines closer than 0.1° are merged.

Structural model:
```
data_In3ReN
_chemical_formula_sum 'In3 Re1 N1'
_cell_length_a 4.515
_cell_length_b 4.515
_cell_length_c 4.515
_cell_angle_alpha 90.00
_cell_angle_beta 90.00
_cell_angle_gamma 90.00
_space_group_name_H-M_alt 'P m -3 m'
_space_group_IT_number 221
_space_group_name_Hall '-P 4 2 3'
loop_
_atom_site_label
_atom_site_fract_x
_atom_site_fract_y
_atom_site_fract_z
In1 0.000 0.000 0.500
Re1 0.500 0.500 0.500
N1 0.000 0.000 0.000
```

Top 10 peaks for 10° ≤ 2θ ≤ 90°, sorted by position:
d [Å]  2theta  intensity  index
4.515  19.7  3  1 0 0
3.192  27.9  6  1 1 0
2.607  34.4  100  1 1 1
2.257  39.9  55  2 0 0
2.019  44.9  2  2 1 0
1.843  49.4  3  2 1 1
1.596  57.8  36  2 2 0
1.361  69.0  39  3 1 1
1.303  72.5  12  2 2 2
1.129  86.2  6  4 0 0